Calculated powder XRD pattern of BiB3O6 for copper Kα, from a crystal structure in the Materials Project, relaxed with GGA-PBE.
Peak positions follow from Bragg's law for the DFT cell and can differ from measured ones.

Atomic structure:
```
data_BiB3O6
_chemical_formula_sum 'Bi4 B12 O24'
_space_group_name_H-M_alt 'P 1'
_space_group_IT_number 1
_cell_length_a 4.3027
_cell_length_b 11.8221
_cell_length_c 7.3379
_cell_angle_alpha 90.00
_cell_angle_beta 91.05
_cell_angle_gamma 90.00
loop_
_space_group_symop_operation_xyz
'x,y,z'
loop_
_atom_site_label
_atom_site_type_symbol
_atom_site_fract_x
_atom_site_fract_y
_atom_site_fract_z
Bi1 Bi 0.1635 0.1138 0.3683
Bi2 Bi 0.1635 0.3862 0.8683
Bi3 Bi 0.8365 0.6138 0.1317
Bi4 Bi 0.8365 0.8862 0.6317
B1 B 0.2012 0.0934 0.8693
B2 B 0.2012 0.4066 0.3693
B3 B 0.3092 0.6251 0.4345
B4 B 0.3092 0.8749 0.9345
B5 B 0.3177 0.6627 0.7933
B6 B 0.3177 0.8373 0.2933
B7 B 0.6823 0.1627 0.7067
B8 B 0.6823 0.3373 0.2067
B9 B 0.6908 0.1251 0.0655
B10 B 0.6908 0.3749 0.5655
B11 B 0.7988 0.5934 0.6307
B12 B 0.7988 0.9066 0.1307
O1 O 0.1462 0.6277 0.6168
O2 O 0.1462 0.8723 0.1168
O3 O 0.1936 0.5287 0.3227
O4 O 0.1936 0.9713 0.8227
O5 O 0.2116 0.7210 0.3221
O6 O 0.2116 0.7790 0.8221
O7 O 0.2310 0.5813 0.9391
O8 O 0.2310 0.9187 0.4391
O9 O 0.3454 0.1590 0.7267
O10 O 0.3454 0.3410 0.2267
O11 O 0.3577 0.1169 0.0412
O12 O 0.3577 0.3831 0.5412
O13 O 0.6423 0.6169 0.4588
O14 O 0.6423 0.8831 0.9588
O15 O 0.6546 0.6590 0.7733
O16 O 0.6546 0.8410 0.2733
O17 O 0.7690 0.0813 0.5609
O18 O 0.7690 0.4187 0.0609
O19 O 0.7884 0.2210 0.1779
O20 O 0.7884 0.2790 0.6779
O21 O 0.8064 0.0287 0.1773
O22 O 0.8064 0.4713 0.6773
O23 O 0.8538 0.1277 0.8832
O24 O 0.8538 0.3723 0.3832
```

Largest 10 diffraction maxima, in order of rising 2θ, 5 to 70 degrees two-theta:
d_spacing	2θ (°)	I_rel	hkl
6.234	14.21	70.1	0 1 1
4.603	19.28	86.6	0 2 1
4.043	21.99	35.2	1 1 0
3.511	25.37	100.0	1 1 1
3.161	28.23	86.8	1 2 -1
2.956	30.24	62.1	0 4 0
2.906	30.77	40.0	1 3 0
2.817	31.77	43.6	1 0 -2
2.685	33.37	47.7	0 3 2
1.988	45.63	66.6	1 5 1

Calculated powder XRD pattern of OsN for copper Kα, from a crystal structure in the Materials Project, relaxed with GGA-PBE.
Peak positions follow from Bragg's law for the DFT cell and can differ from measured ones.

Atomic structure:
```
data_OsN
_chemical_formula_sum 'Os2 N2'
_space_group_name_H-M_alt 'P 1'
_space_group_IT_number 1
_cell_length_a 2.7886
_cell_length_b 3.7323
_cell_length_c 4.2595
_cell_angle_alpha 90.00
_cell_angle_beta 90.00
_cell_angle_gamma 90.00
loop_
_space_group_symop_operation_xyz
'x,y,z'
loop_
_atom_site_label
_atom_site_type_symbol
_atom_site_fract_x
_atom_site_fract_y
_atom_site_fract_z
Os1 Os 0.0000 0.1373 0.0000
Os2 Os 0.5000 0.8627 0.5000
N1 N 0.0000 0.6507 0.8004
N2 N 0.5000 0.3493 0.3004
```

Largest 10 diffraction maxima, in order of rising 2θ, 5 to 70 degrees two-theta:
d_spacing	2θ (°)	I_rel	hkl
3.732	23.84	59.8	0 1 0
2.807	31.88	87.5	0 1 1
2.333	38.59	100.0	1 0 1
2.234	40.37	41.7	1 1 0
2.130	42.44	32.9	0 0 2
1.978	45.87	48.2	1 1 1
1.850	49.26	22.2	0 1 2
1.709	53.62	37.9	0 2 1
1.551	59.61	29.5	1 2 0
1.541	60.02	33.8	1 1 2